Record 1
The following is a simulated powder diffractogram of BH2Pd. It was derived from a cell relaxed with GGA-PBE, using CuKα.
Intensities are scaled so that the largest is 100.

Largest 10 diffraction maxima, in order of rising 2θ, 2θ from 10° to 90°:
26.81 deg, I = 100, hkl 1 0 1; 38.29 deg, I = 68, hkl 0 0 4; 40.70 deg, I = 91, hkl 1 1 2; 51.40 deg, I = 22, hkl 2 0 0; 55.26 deg, I = 14, hkl 1 0 5; 58.91 deg, I = 23, hkl 2 1 1; 65.87 deg, I = 37, hkl 2 0 4; 70.86 deg, I = 17, hkl 1 1 6; 88.13 deg, I = 13, hkl 2 2 4; 89.67 deg, I = 19, hkl 3 1 2

Structural model:
```
data_BH2Pd
_cell_length_a 3.555
_cell_length_b 3.555
_cell_length_c 9.402
_cell_angle_alpha 90.00
_cell_angle_beta 90.00
_cell_angle_gamma 90.00
_symmetry_space_group_name_H-M 'I -4 2 d'
_symmetry_Int_Tables_number 122
_symmetry_space_group_name_Hall 'I -4 2bw'
loop_
_atom_site_label
_atom_site_fract_x
_atom_site_fract_y
_atom_site_fract_z
B1 0.000 0.000 0.000
H1 0.123 0.250 0.125
Pd1 0.000 0.000 0.500
```

***

Record 2
The following is a simulated powder diffractogram of BH2Pd8. It was derived from a cell relaxed with GGA-PBE, using CuKα.
Intensities are scaled so that the largest is 100.

Largest 10 diffraction maxima, in order of rising 2θ, 2θ from 10° to 90°:
36.13 deg, I = 14, hkl 0 0 2; 36.28 deg, I = 32, hkl 0 2 1; 36.58 deg, I = 60, hkl 4 0 0; 40.40 deg, I = 36, hkl 2 0 -2; 40.68 deg, I = 67, hkl 2 2 -1; 40.94 deg, I = 100, hkl 2 0 2; 52.25 deg, I = 13, hkl 4 2 -1; 65.07 deg, I = 22, hkl 0 2 3; 68.99 deg, I = 14, hkl 6 2 1; 76.49 deg, I = 13, hkl 4 2 -3

Structural model:
```
data_BH2Pd8
_cell_length_a 9.828
_cell_length_b 5.710
_cell_length_c 4.973
_cell_angle_alpha 90.00
_cell_angle_beta 90.89
_cell_angle_gamma 90.00
_symmetry_space_group_name_H-M 'C 1 2/m 1'
_symmetry_Int_Tables_number 12
loop_
_symmetry_equiv_pos_as_xyz
'x,y,z'
'-x,-y,-z'
'-x,y,-z'
'x,-y,z'
'x+1/2,y+1/2,z'
'-x+1/2,-y+1/2,-z'
'-x+1/2,y+1/2,-z'
'x+1/2,-y+1/2,z'
loop_
_atom_site_label
_atom_site_fract_x
_atom_site_fract_y
_atom_site_fract_z
B1 0.000 0.000 0.000
H1 0.211 0.000 0.694
Pd1 0.114 0.500 0.338
Pd2 0.127 0.257 0.836
Pd3 0.129 0.000 0.336
```

***

Record 3
The following is a simulated powder diffractogram of BH3Pd6. It was derived from a cell relaxed with GGA-PBE, using CuKα.
Intensities are scaled so that the largest is 100.

Largest 10 diffraction maxima, in order of rising 2θ, 2θ from 10° to 90°:
35.44 deg, I = 21, hkl 1 1 -1; 37.11 deg, I = 62, hkl 1 1 2; 37.55 deg, I = 100, hkl 0 0 6; 39.76 deg, I = 94, hkl 1 1 3; 40.15 deg, I = 25, hkl 0 2 3; 43.25 deg, I = 48, hkl 1 1 -4; 43.61 deg, I = 25, hkl 0 2 4; 63.09 deg, I = 42, hkl 1 3 0; 75.01 deg, I = 26, hkl 2 0 6; 75.80 deg, I = 40, hkl 1 3 6

Structural model:
```
data_BH3Pd6
_cell_length_a 2.984
_cell_length_b 5.086
_cell_length_c 14.365
_cell_angle_alpha 90.00
_cell_angle_beta 90.01
_cell_angle_gamma 90.00
_symmetry_space_group_name_H-M 'P 1 21 1'
_symmetry_Int_Tables_number 4
loop_
_symmetry_equiv_pos_as_xyz
'x,y,z'
'-x,y+1/2,-z'
loop_
_atom_site_label
_atom_site_fract_x
_atom_site_fract_y
_atom_site_fract_z
B1 0.250 0.000 0.248
H1 0.250 0.358 0.455
H2 0.250 0.637 0.046
H3 0.252 0.010 0.737
Pd1 0.250 0.018 0.500
Pd2 0.250 0.323 0.836
Pd3 0.250 0.668 0.333
Pd4 0.250 0.670 0.665
Pd5 0.250 0.978 0.000
Pd6 0.251 0.327 0.165
```

***

Record 4
The following is a simulated powder diffractogram of BH3Pd8. It was derived from a cell relaxed with GGA-PBE, using CuKα.
Intensities are scaled so that the largest is 100.

Largest 10 diffraction maxima, in order of rising 2θ, 2θ from 10° to 90°:
37.71 deg, I = 100, hkl 2 0 0; 37.78 deg, I = 100, hkl 0 1 2; 43.68 deg, I = 34, hkl 1 2 0; 43.96 deg, I = 67, hkl 1 -1 2; 63.60 deg, I = 22, hkl 0 3 -2; 63.83 deg, I = 32, hkl 2 1 2; 76.29 deg, I = 12, hkl 0 4 0; 76.58 deg, I = 18, hkl 0 2 -4; 76.73 deg, I = 30, hkl 2 -3 2; 80.66 deg, I = 11, hkl 2 -4 0

Structural model:
```
data_BH3Pd8
_cell_length_a 5.052
_cell_length_b 5.065
_cell_length_c 5.829
_cell_angle_alpha 90.16
_cell_angle_beta 106.90
_cell_angle_gamma 99.23
_symmetry_space_group_name_H-M 'P 1'
_symmetry_Int_Tables_number 1
loop_
_symmetry_equiv_pos_as_xyz
'x,y,z'
loop_
_atom_site_label
_atom_site_fract_x
_atom_site_fract_y
_atom_site_fract_z
B1 0.000 0.000 0.000
H1 0.387 0.563 0.344
H2 0.478 0.217 0.821
H3 0.992 0.512 0.694
Pd1 0.249 0.375 0.560
Pd2 0.256 0.875 0.807
Pd3 0.261 0.379 0.052
Pd4 0.261 0.885 0.316
Pd5 0.750 0.132 0.677
Pd6 0.752 0.132 0.186
Pd7 0.754 0.626 0.929
Pd8 0.764 0.634 0.428
```

***

Record 5
The following is a simulated powder diffractogram of B2H5Pd12. It was derived from a cell relaxed with GGA-PBE, using CuKα.
Intensities are scaled so that the largest is 100.

Largest 10 diffraction maxima, in order of rising 2θ, 2θ from 10° to 90°:
34.25 deg, I = 25, hkl 0 2 1; 36.23 deg, I = 60, hkl 2 2 0; 36.80 deg, I = 100, hkl 4 0 -2; 38.12 deg, I = 85, hkl 0 0 3; 39.81 deg, I = 79, hkl 4 0 1; 40.03 deg, I = 57, hkl 2 2 1; 40.96 deg, I = 40, hkl 0 2 2; 41.72 deg, I = 60, hkl 2 2 -2; 68.95 deg, I = 23, hkl 4 2 3; 78.43 deg, I = 23, hkl 4 4 -2

Structural model:
```
data_B2H5Pd12
_cell_length_a 10.870
_cell_length_b 5.630
_cell_length_c 7.353
_cell_angle_alpha 90.00
_cell_angle_beta 105.62
_cell_angle_gamma 90.00
_symmetry_space_group_name_H-M 'C 1 2/m 1'
_symmetry_Int_Tables_number 12
loop_
_symmetry_equiv_pos_as_xyz
'x,y,z'
'-x,-y,-z'
'-x,y,-z'
'x,-y,z'
'x+1/2,y+1/2,z'
'-x+1/2,-y+1/2,-z'
'-x+1/2,y+1/2,-z'
'x+1/2,-y+1/2,z'
loop_
_atom_site_label
_atom_site_fract_x
_atom_site_fract_y
_atom_site_fract_z
B1 0.000 0.241 0.000
H1 0.000 0.000 0.500
H2 0.195 0.500 0.734
H3 0.248 0.000 0.541
Pd1 0.044 0.500 0.810
Pd2 0.049 0.000 0.808
Pd3 0.126 0.252 0.503
Pd4 0.192 0.252 0.147
```

***

Record 6
The following is a simulated powder diffractogram of PmB2H6. It was derived from a cell relaxed with GGA-PBE, using CuKα.
Intensities are scaled so that the largest is 100.

Largest 10 diffraction maxima, in order of rising 2θ, 2θ from 10° to 90°:
18.22 deg, I = 72, hkl 0 0 3; 23.68 deg, I = 100, hkl 1 0 1; 25.96 deg, I = 74, hkl 0 1 2; 33.67 deg, I = 44, hkl 1 0 4; 38.55 deg, I = 34, hkl 0 1 5; 40.16 deg, I = 32, hkl 1 1 0; 44.44 deg, I = 44, hkl 1 1 3; 47.15 deg, I = 16, hkl 0 2 1; 48.45 deg, I = 15, hkl 2 0 2; 55.66 deg, I = 32, hkl 0 1 8

Structural model:
```
data_PmB2H6
_cell_length_a 4.4903
_cell_length_b 4.4903
_cell_length_c 14.6047
_cell_angle_alpha 90.00
_cell_angle_beta 90.00
_cell_angle_gamma 120.00
_symmetry_space_group_name_H-M 'R 3 m'
_symmetry_Int_Tables_number 160
_symmetry_space_group_name_Hall 'R 3 -2"'
loop_
_atom_site_label
_atom_site_fract_x
_atom_site_fract_y
_atom_site_fract_z
Pm1 0.0000 0.0000 0.0000
B1 0.0000 0.0000 0.6281
B2 0.0000 0.0000 0.7499
H1 0.0442 0.5221 0.4539
H2 0.1870 0.3741 0.2600
```

***

Record 7
The following is a simulated powder diffractogram of PmB3H12. It was derived from a cell relaxed with GGA-PBE, using CuKα.
Intensities are scaled so that the largest is 100.

Largest 10 diffraction maxima, in order of rising 2θ, 2θ from 10° to 90°:
15.73 deg, I = 100, hkl 0 1 2; 22.32 deg, I = 58, hkl 1 1 0; 27.46 deg, I = 13, hkl 2 0 2; 31.78 deg, I = 21, hkl 0 2 4; 35.59 deg, I = 24, hkl 1 1 6; 35.70 deg, I = 24, hkl 1 2 2; 39.22 deg, I = 23, hkl 3 0 0; 48.53 deg, I = 20, hkl 0 3 6; 61.72 deg, I = 8, hkl 4 1 0; 68.79 deg, I = 8, hkl 5 0 2

Structural model:
```
data_PmB3H12
_cell_length_a 7.9512
_cell_length_b 7.9512
_cell_length_c 19.5796
_cell_angle_alpha 90.00
_cell_angle_beta 90.00
_cell_angle_gamma 120.00
_symmetry_space_group_name_H-M 'R -3 c'
_symmetry_Int_Tables_number 167
_symmetry_space_group_name_Hall '-R 3 2"c'
loop_
_atom_site_label
_atom_site_fract_x
_atom_site_fract_y
_atom_site_fract_z
Pm1 0.0000 0.0000 0.0000
B1 0.0000 0.4989 0.2500
H1 0.0032 0.1923 0.5934
H2 0.0178 0.4187 0.6996
```

***

Record 8
The following is a simulated powder diffractogram of PrB3H12. It was derived from a cell relaxed with GGA-PBE, using CuKα.
Intensities are scaled so that the largest is 100.

Largest 10 diffraction maxima, in order of rising 2θ, 2θ from 10° to 90°:
12.93 deg, I = 73, hkl 1 0 0; 20.57 deg, I = 100, hkl 1 0 1; 22.50 deg, I = 50, hkl 1 1 0; 30.67 deg, I = 47, hkl 2 0 1; 38.37 deg, I = 54, hkl 2 1 1; 39.49 deg, I = 16, hkl 3 0 0; 39.62 deg, I = 25, hkl 1 1 2; 50.81 deg, I = 20, hkl 3 1 1; 51.82 deg, I = 15, hkl 3 0 2; 61.52 deg, I = 13, hkl 2 1 3

Structural model:
```
data_PrB3H12
_cell_length_a 7.9044
_cell_length_b 7.9044
_cell_length_c 5.5633
_cell_angle_alpha 90.00
_cell_angle_beta 90.00
_cell_angle_gamma 120.00
_symmetry_space_group_name_H-M 'P 63/m'
_symmetry_Int_Tables_number 176
_symmetry_space_group_name_Hall '-P 6c'
loop_
_atom_site_label
_atom_site_fract_x
_atom_site_fract_y
_atom_site_fract_z
Pr1 0.3333 0.6667 0.2500
B1 0.0678 0.4225 0.7500
H1 0.0146 0.5435 0.7500
H2 0.0680 0.7476 0.2500
H3 0.1671 0.4415 0.5721
```

***

Record 9
The following is a simulated powder diffractogram of PrB2H8. It was derived from a cell relaxed with GGA-PBE, using CuKα.
Intensities are scaled so that the largest is 100.

Largest 10 diffraction maxima, in order of rising 2θ, 2θ from 10° to 90°:
14.82 deg, I = 100, hkl 0 0 1; 24.74 deg, I = 100, hkl 1 1 0; 26.13 deg, I = 41, hkl 1 1 -1; 26.39 deg, I = 20, hkl 2 0 0; 31.37 deg, I = 22, hkl 2 0 -2; 31.54 deg, I = 44, hkl 1 1 1; 34.83 deg, I = 31, hkl 1 1 -2; 42.70 deg, I = 19, hkl 3 1 -1; 45.27 deg, I = 24, hkl 0 2 1; 45.55 deg, I = 18, hkl 0 0 3

Structural model:
```
data_PrB2H8
_cell_length_a 7.325
_cell_length_b 4.255
_cell_length_c 6.483
_cell_angle_alpha 90.00
_cell_angle_beta 112.74
_cell_angle_gamma 90.00
_symmetry_space_group_name_H-M 'C 1 2/m 1'
_symmetry_Int_Tables_number 12
loop_
_symmetry_equiv_pos_as_xyz
'x,y,z'
'-x,-y,-z'
'-x,y,-z'
'x,-y,z'
'x+1/2,y+1/2,z'
'-x+1/2,-y+1/2,-z'
'-x+1/2,y+1/2,-z'
'x+1/2,-y+1/2,z'
loop_
_atom_site_label
_atom_site_fract_x
_atom_site_fract_y
_atom_site_fract_z
Pr1 0.000 0.000 0.000
B1 0.237 0.000 0.714
H1 0.079 0.500 0.214
H2 0.171 0.000 0.511
H3 0.179 0.239 0.781
```

***

Record 10
The following is a simulated powder diffractogram of BH2Pt8. It was derived from a cell relaxed with GGA-PBE, using CuKα.
Intensities are scaled so that the largest is 100.

Largest 10 diffraction maxima, in order of rising 2θ, 2θ from 10° to 90°:
35.31 deg, I = 76, hkl 0 0 2; 36.09 deg, I = 60, hkl 1 -2 1; 40.50 deg, I = 100, hkl 1 2 0; 41.16 deg, I = 59, hkl 1 2 -2; 41.33 deg, I = 49, hkl 2 0 1; 50.13 deg, I = 23, hkl -1 2 1; 52.62 deg, I = 23, hkl 1 -2 3; 66.42 deg, I = 24, hkl 3 2 -1; 67.35 deg, I = 15, hkl 0 4 -1; 87.58 deg, I = 12, hkl 4 0 -2

Structural model:
```
data_BH2Pt8
_cell_length_a 4.899
_cell_length_b 5.728
_cell_length_c 5.744
_cell_angle_alpha 117.72
_cell_angle_beta 90.80
_cell_angle_gamma 91.00
_symmetry_space_group_name_H-M 'P -1'
_symmetry_Int_Tables_number 2
loop_
_symmetry_equiv_pos_as_xyz
'x,y,z'
'-x,-y,-z'
loop_
_atom_site_label
_atom_site_fract_x
_atom_site_fract_y
_atom_site_fract_z
B1 0.000 0.000 0.000
H1 0.272 0.833 0.541
Pt1 0.142 0.173 0.753
Pt2 0.151 0.642 0.733
Pt3 0.355 0.084 0.250
Pt4 0.363 0.575 0.235
```

***

Record 11
The following is a simulated powder diffractogram of B2HPt4. It was derived from a cell relaxed with GGA-PBE, using CuKα.
Intensities are scaled so that the largest is 100.

Largest 10 diffraction maxima, in order of rising 2θ, 2θ from 10° to 90°:
30.41 deg, I = 18, hkl 0 0 2; 30.62 deg, I = 34, hkl 0 1 1; 37.19 deg, I = 33, hkl 1 0 -2; 37.38 deg, I = 100, hkl 1 1 -1; 37.48 deg, I = 67, hkl 1 1 1; 42.81 deg, I = 29, hkl 2 0 0; 54.16 deg, I = 32, hkl 0 1 3; 54.55 deg, I = 16, hkl 0 2 0; 67.93 deg, I = 23, hkl 1 2 2; 74.82 deg, I = 16, hkl 3 0 2

Structural model:
```
data_B2HPt4
_cell_length_a 4.225
_cell_length_b 3.364
_cell_length_c 5.879
_cell_angle_alpha 90.00
_cell_angle_beta 90.23
_cell_angle_gamma 90.00
_symmetry_space_group_name_H-M 'P 1 2 1'
_symmetry_Int_Tables_number 3
loop_
_symmetry_equiv_pos_as_xyz
'x,y,z'
'-x,y,-z'
loop_
_atom_site_label
_atom_site_fract_x
_atom_site_fract_y
_atom_site_fract_z
B1 0.000 0.000 0.000
B2 0.000 0.494 0.500
H1 0.500 0.252 0.500
Pt1 0.240 0.988 0.672
Pt2 0.248 0.503 0.162
```

***

Record 12
The following is a simulated powder diffractogram of BH3Pt7. It was derived from a cell relaxed with GGA-PBE, using CuKα.
Intensities are scaled so that the largest is 100.

Largest 10 diffraction maxima, in order of rising 2θ, 2θ from 10° to 90°:
34.51 deg, I = 100, hkl 2 2 -1; 35.05 deg, I = 39, hkl 2 2 0; 35.99 deg, I = 84, hkl 0 0 2; 38.55 deg, I = 52, hkl 1 3 0; 40.14 deg, I = 55, hkl 3 1 0; 40.46 deg, I = 49, hkl 1 3 -1; 42.82 deg, I = 75, hkl 3 1 -2; 44.13 deg, I = 59, hkl 2 2 1; 44.95 deg, I = 32, hkl 1 3 1; 72.73 deg, I = 34, hkl 5 3 -1

Structural model:
```
data_BH3Pt7
_cell_length_a 7.697
_cell_length_b 7.422
_cell_length_c 5.431
_cell_angle_alpha 90.00
_cell_angle_beta 113.25
_cell_angle_gamma 90.00
_symmetry_space_group_name_H-M 'C 1 m 1'
_symmetry_Int_Tables_number 8
loop_
_symmetry_equiv_pos_as_xyz
'x,y,z'
'x,-y,z'
'x+1/2,y+1/2,z'
'x+1/2,-y+1/2,z'
loop_
_atom_site_label
_atom_site_fract_x
_atom_site_fract_y
_atom_site_fract_z
B1 0.000 0.000 0.000
H1 0.444 0.000 0.984
H2 0.450 0.181 0.500
Pt1 0.047 0.312 0.226
Pt2 0.193 0.000 0.800
Pt3 0.263 0.000 0.343
Pt4 0.356 0.305 0.704
Pt5 0.363 0.500 0.260
```